Record 1
Computed PXRD pattern of Al6Os for Cu Kα, from DFT lattice parameters and positions (GGA-PBE).
Kinematic intensities with the Lorentz-polarization factor, no thermal factor.

Main lines, low angle first (15 to 90 degrees two-theta):
Position (°2θ)  I/Imax  hkl
17.9  100  1 1 0
19.6  44  0 0 2
23.8  29  2 0 0
26.7  78  1 1 2
31.0  29  2 0 2
41.6  50  2 2 2
43.7  55  3 1 2
44.0  39  1 1 4

Atomic structure:
abc: 7.476 6.596 9.058
angles: 90.00 90.00 90.00
Space group Cmcm (No. 63)
Unique sites:
Al 0.000 0.141 0.098
Al 0.179 0.199 0.750
Al 0.181 0.500 0.000
Os 0.000 0.465 0.250

***

Record 2
Computed PXRD pattern of AlOs4 for Cu Kα, from DFT lattice parameters and positions (GGA-PBE).
Kinematic intensities with the Lorentz-polarization factor, no thermal factor.

Main lines, low angle first (15 to 90 degrees two-theta):
Position (°2θ)  I/Imax  hkl
20.6  13  1 1 0
27.4  10  1 0 1
29.3  4  2 0 0
40.5  100  2 1 1
47.2  47  0 0 2
68.9  31  1 3 2
83.1  38  2 1 3
87.7  12  4 2 2

Atomic structure:
abc: 6.097 6.097 3.853
angles: 90.00 90.00 90.00
Space group I4/m (No. 87)
Unique sites:
Al 0.000 0.000 0.000
Os 0.101 0.304 0.500

***

Record 3
Computed PXRD pattern of Pa4Al6Os7 for Cu Kα, from DFT lattice parameters and positions (GGA-PBE).
Kinematic intensities with the Lorentz-polarization factor, no thermal factor.

Main lines, low angle first (15 to 90 degrees two-theta):
Position (°2θ)  I/Imax  hkl
26.0  45  2 1 1
30.1  32  2 2 0
37.0  100  2 2 2
40.1  38  3 2 1
43.0  70  4 0 0
62.5  45  4 4 0
74.9  37  6 2 2
78.9  15  4 4 4

Atomic structure:
abc: 8.406 8.406 8.406
angles: 90.00 90.00 90.00
Space group Im-3m (No. 229)
Unique sites:
Pa 0.250 0.250 0.250
Al 0.000 0.000 0.309
Os 0.000 0.000 0.000
Os 0.000 0.250 0.500